For LiZn2Hg2Au5, the PBE geometry in Alexandria gives the computed X-ray diffraction stick pattern in this record (λ = 1.5418 Å (Cu Kα)).

Top 10 peaks for 15° ≤ 2θ ≤ 90°, most intense first:
- 2θ 36.97, I = 100, (3 1 1)
- 2θ 39.66, I = 56, (4 1 0)
- 2θ 29.93, I = 46, (2 1 1)
- 2θ 40.69, I = 46, (3 2 1)
- 2θ 42.50, I = 36, (0 0 2)
- 2θ 59.53, I = 35, (4 1 2)
- 2θ 66.88, I = 22, (6 2 1)
- 2θ 28.34, I = 19, (2 0 1)
- 2θ 20.88, I = 18, (0 0 1)
- 2θ 86.55, I = 17, (5 5 2)

Unit cell a=9.3693 b=9.3693 c=4.2541 alpha=90.00 beta=90.00 gamma=90.00
Positions (direct):
Li1 0.0000 0.0000 0.0000
Li2 0.5000 0.5000 0.0000
Zn1 0.1232 0.3768 0.0000
Zn2 0.3768 0.8768 0.0000
Zn3 0.6232 0.1232 0.0000
Zn4 0.8768 0.6232 0.0000
Hg1 0.1744 0.6744 0.0000
Hg2 0.3256 0.1744 0.0000
Hg3 0.6744 0.8256 0.0000
Hg4 0.8256 0.3256 0.0000
Au1 0.0000 0.5000 0.5000
Au2 0.0803 0.1953 0.5000
Au3 0.1953 0.9197 0.5000
Au4 0.3047 0.4197 0.5000
Au5 0.4197 0.6953 0.5000
Au6 0.5000 0.0000 0.5000
Au7 0.5803 0.3047 0.5000
Au8 0.6953 0.5803 0.5000
Au9 0.8047 0.0803 0.5000
Au10 0.9197 0.8047 0.5000